No. 1
Structure and calculated powder XRD pattern of K2AcHoS4 (a cell relaxed with GGA-PBE; Cu Kα (λ = 1.5418 Å)).
Intensities are scaled so that the largest is 100.

Top 10 peaks for 10° ≤ 2θ ≤ 90°, low angle first:
11.95°, I = 83, hkl 0 0 1; 24.04°, I = 18, hkl 0 0 2; 24.59°, I = 35, hkl 1 1 0; 25.57°, I = 43, hkl 2 0 0; 29.17°, I = 100, hkl 1 1 1; 37.47°, I = 21, hkl 2 0 -3; 40.75°, I = 36, hkl 1 1 -3; 42.68°, I = 35, hkl 0 2 0; 44.48°, I = 21, hkl 3 1 -2; 49.57°, I = 17, hkl 3 1 -3

```
data_K2AcHoS4
_chemical_formula_sum 'K2 Ac1 Ho1 S4'
_cell_length_a 7.3464
_cell_length_b 4.2330
_cell_length_c 7.7953
_cell_angle_alpha 90.00
_cell_angle_beta 108.22
_cell_angle_gamma 90.00
_space_group_name_H-M_alt 'P 1 2/m 1'
_space_group_IT_number 10
_space_group_name_Hall '-P 2y'
loop_
_atom_site_label
_atom_site_fract_x
_atom_site_fract_y
_atom_site_fract_z
K1 0.0000 0.0000 0.0000
K2 0.5000 0.5000 0.0000
Ac1 0.0000 0.5000 0.5000
Ho1 0.5000 0.0000 0.5000
S1 0.2567 0.0000 0.7103
S2 0.2824 0.5000 0.2973
```



No. 2
Structure and calculated powder XRD pattern of PuReRu (a cell relaxed with GGA-PBE; Cu Kα (λ = 1.5418 Å)).
Intensities are scaled so that the largest is 100.

Top 10 peaks for 10° ≤ 2θ ≤ 90°, low angle first:
31.61°, I = 39, hkl 0 2 0; 33.46°, I = 74, hkl 1 1 2; 38.28°, I = 67, hkl 1 2 1; 39.01°, I = 52, hkl 0 1 3; 39.77°, I = 71, hkl 0 2 2; 40.70°, I = 100, hkl 2 1 1; 42.84°, I = 27, hkl 2 0 2; 57.48°, I = 17, hkl 1 3 2; 62.52°, I = 29, hkl 2 3 1; 70.30°, I = 44, hkl 2 2 4

```
data_PuReRu
_chemical_formula_sum 'Pu4 Re4 Ru4'
_cell_length_a 5.0810
_cell_length_b 5.6616
_cell_length_c 7.5861
_cell_angle_alpha 90.00
_cell_angle_beta 90.00
_cell_angle_gamma 90.00
_space_group_name_H-M_alt 'I m m a'
_space_group_IT_number 74
_space_group_name_Hall '-I 2b 2'
loop_
_atom_site_label
_atom_site_fract_x
_atom_site_fract_y
_atom_site_fract_z
Pu1 0.0000 0.2500 0.1281
Re1 0.2500 0.2500 0.7500
Ru1 0.0000 0.0000 0.5000
```



No. 3
Structure and calculated powder XRD pattern of LaIr2Au2 (a cell relaxed with GGA-PBE; Cu Kα (λ = 1.5418 Å)).
Intensities are scaled so that the largest is 100.

Top 10 peaks for 10° ≤ 2θ ≤ 90°, low angle first:
16.01°, I = 12, hkl 1 1 0; 36.28°, I = 51, hkl 3 1 0; 36.78°, I = 17, hkl 2 0 1; 38.59°, I = 100, hkl 2 1 1; 41.58°, I = 9, hkl 3 2 0; 56.70°, I = 11, hkl 4 1 1; 59.07°, I = 9, hkl 0 0 2; 68.01°, I = 10, hkl 5 1 1; 71.33°, I = 14, hkl 3 1 2; 71.56°, I = 18, hkl 5 2 1

```
data_LaIr2Au2
_chemical_formula_sum 'La2 Ir4 Au4'
_cell_length_a 7.8307
_cell_length_b 7.8307
_cell_length_c 3.1278
_cell_angle_alpha 90.00
_cell_angle_beta 90.00
_cell_angle_gamma 90.00
_space_group_name_H-M_alt 'P 4/m b m'
_space_group_IT_number 127
_space_group_name_Hall '-P 4 2ab'
loop_
_atom_site_label
_atom_site_fract_x
_atom_site_fract_y
_atom_site_fract_z
La1 0.0000 0.0000 0.0000
Ir1 0.1693 0.3307 0.5000
Au1 0.1298 0.6298 0.0000
```